Record 1
Starting from a DFT-relaxed cell (GGA+U, the Materials Project), the PXRD pattern of Li3V4O3F9 was computed for CuKα.
Neutral-atom scattering factors, no anomalous dispersion.

Cell and atoms:
```
data_Li3V4O3F9
_space_group_name_H-M_alt 'P 1'
_space_group_IT_number 1
_cell_length_a 5.124
_cell_length_b 5.512
_cell_length_c 7.701
_cell_angle_alpha 94.74
_cell_angle_beta 90.96
_cell_angle_gamma 92.33
loop_
_space_group_symop_operation_xyz
'x,y,z'
loop_
_atom_site_label
_atom_site_type_symbol
_atom_site_fract_x
_atom_site_fract_y
_atom_site_fract_z
Li1 Li 0.000 0.000 0.000
Li2 Li 0.021 0.114 0.382
Li3 Li 0.488 0.665 0.409
V1 V 0.013 0.559 0.187
V2 V 0.022 0.573 0.690
V3 V 0.499 0.051 0.695
V4 V 0.513 0.067 0.191
O1 O 0.214 0.862 0.247
O2 O 0.316 0.758 0.634
O3 O 0.835 0.245 0.156
F1 F 0.126 0.558 0.938
F2 F 0.196 0.249 0.614
F3 F 0.329 0.373 0.280
F4 F 0.361 0.082 0.944
F5 F 0.653 0.030 0.445
F6 F 0.705 0.366 0.740
F7 F 0.707 0.760 0.118
F8 F 0.825 0.886 0.773
F9 F 0.868 0.571 0.444
```

The 10 most intense peaks (10° ≤ 2θ ≤ 90°), low angle first:
d/Å, intensity, hkl
3.831, 100.0, 0 0 2
3.667, 54.1, 1 1 0
2.769, 17.0, 1 -1 2
2.746, 28.1, 0 2 0
2.304, 20.1, -1 2 1
2.267, 16.1, 2 -1 1
2.220, 14.2, 2 1 -1
1.746, 19.6, 1 -1 4
1.701, 18.0, 2 2 -2
1.513, 17.4, -3 1 2

---

Record 2
Starting from a DFT-relaxed cell (GGA+U, the Materials Project), the PXRD pattern of Li2V2OF6 was computed for CuKα.
Neutral-atom scattering factors, no anomalous dispersion.

Cell and atoms:
```
data_Li2V2OF6
_space_group_name_H-M_alt 'P -1'
_space_group_IT_number 2
_cell_length_a 5.483
_cell_length_b 6.597
_cell_length_c 8.769
_cell_angle_alpha 72.26
_cell_angle_beta 75.31
_cell_angle_gamma 85.74
loop_
_space_group_symop_operation_xyz
'x,y,z'
'-x,-y,-z'
loop_
_atom_site_label
_atom_site_type_symbol
_atom_site_fract_x
_atom_site_fract_y
_atom_site_fract_z
Li1 Li 0.061 0.230 0.374
Li2 Li 0.381 0.578 0.737
V1 V 0.173 0.001 0.816
V2 V 0.275 0.783 0.304
O1 O 0.048 0.107 0.625
F1 F 0.096 0.712 0.848
F2 F 0.190 0.913 0.069
F3 F 0.256 0.495 0.293
F4 F 0.291 0.680 0.537
F5 F 0.342 0.267 0.801
F6 F 0.451 0.062 0.270
```

The 10 most intense peaks (10° ≤ 2θ ≤ 90°), low angle first:
d/Å, intensity, hkl
6.283, 68.5, 0 1 0
5.880, 63.7, 0 1 1
4.049, 100.0, 0 0 2
3.680, 28.0, 1 0 2
3.622, 17.6, 1 -1 1
2.912, 16.3, 1 2 1
2.274, 35.8, -2 1 1
2.071, 33.6, 1 3 1
2.067, 35.9, 1 0 4
1.721, 14.8, -2 1 3